This entry pairs a crystal structure of KCaSmWO6 with its computed powder XRD pattern. Radiation: Cu Ka. Structure: the PBE+U geometry in Alexandria.

Principal peaks in the range 5 to 70 degrees two-theta, sorted by position:
hkl  Position (°2θ)  d/Å  I (rel.)
1 1 1  18.16  4.885  3
2 0 0  21.00  4.231  65
2 2 0  29.87  2.991  100
2 2 2  36.80  2.442  6
4 0 0  42.75  2.115  33
4 2 0  48.09  1.892  29
4 2 2  53.02  1.727  40
5 1 1  56.52  1.628  1
4 4 0  62.05  1.496  20
6 0 0  66.28  1.410  14

Structural model:
a b c (Å): 8.4610 8.4610 8.4610
angles (deg): 90.00 90.00 90.00
Space group F-43m (No. 216)
Unique sites:
K (0.0000, 0.0000, 0.0000) (multiplicity 4)
Ca (0.0000, 0.0000, 0.5000) (multiplicity 4)
Sm (0.2500, 0.2500, 0.2500) (multiplicity 4)
W (0.2500, 0.2500, 0.7500) (multiplicity 4)
O (0.0197, 0.2500, 0.7500) (multiplicity 24)